1.
Starting from a crystal structure in OQMD, relaxed with PBE, the X-ray diffraction stick pattern of LiHfIn2Cl6 was calculated for Cu Kα.
Neutral-atom scattering factors, no anomalous dispersion.

Atomic structure:
Cell lengths 7.104, 7.104, 7.104 Å; angles 120.05, 120.05, 89.91 degrees
Atoms (fractional coordinates):
1 Li 0.000 0.000 0.000
2 Hf 0.500 0.500 0.000
3 In 0.250 0.750 0.500
4 In 0.750 0.250 0.500
5 Cl 0.244 0.260 0.503
6 Cl 0.252 0.252 0.000
7 Cl 0.260 0.756 0.016
8 Cl 0.740 0.244 0.984
9 Cl 0.748 0.748 0.000
10 Cl 0.756 0.740 0.497

Peak list (10 most intense, 2θ from 10° to 90°, sorted by position)
| d_spacing | 2theta | intensity |
| --- | --- | --- |
| 5.799 | 15.3 | 54.1 |
| 3.551 | 25.1 | 100.0 |
| 3.028 | 29.5 | 33.1 |
| 2.899 | 30.8 | 25.4 |
| 2.511 | 35.8 | 67.8 |
| 2.304 | 39.1 | 15.1 |
| 2.050 | 44.2 | 46.1 |
| 1.775 | 51.5 | 45.0 |
| 1.588 | 58.1 | 20.5 |
| 1.342 | 70.1 | 23.4 |

2.
Starting from a crystal structure in OQMD, relaxed with PBE, the X-ray diffraction stick pattern of HfTe5Se3Cl6 was calculated for Cu Kα.
Neutral-atom scattering factors, no anomalous dispersion.

Atomic structure:
Cell lengths 11.441, 11.868, 15.064 Å; angles 90.00, 109.67, 90.00 degrees
Atoms (fractional coordinates):
1 Hf 0.202 0.218 0.098
2 Hf 0.202 0.282 0.598
3 Hf 0.798 0.718 0.402
4 Hf 0.798 0.782 0.902
5 Te 0.130 0.661 0.804
6 Te 0.130 0.839 0.304
7 Te 0.200 0.651 0.453
8 Te 0.200 0.849 0.953
9 Te 0.272 0.013 0.848
10 Te 0.272 0.487 0.348
11 Te 0.355 0.563 0.041
12 Te 0.355 0.937 0.541
13 Te 0.382 0.643 0.264
14 Te 0.382 0.857 0.764
15 Te 0.618 0.143 0.236
16 Te 0.618 0.357 0.736
17 Te 0.645 0.063 0.459
18 Te 0.645 0.437 0.959
19 Te 0.728 0.513 0.652
20 Te 0.728 0.987 0.152
21 Te 0.800 0.151 0.047
22 Te 0.800 0.349 0.547
23 Te 0.870 0.161 0.696
24 Te 0.870 0.339 0.196
25 Se 0.165 0.723 0.172
26 Se 0.165 0.777 0.672
27 Se 0.337 0.558 0.863
28 Se 0.337 0.942 0.363
29 Se 0.416 0.728 0.538
30 Se 0.416 0.772 0.038
31 Se 0.584 0.228 0.962
32 Se 0.584 0.272 0.462
33 Se 0.663 0.058 0.637
34 Se 0.663 0.442 0.137
35 Se 0.835 0.223 0.328
36 Se 0.835 0.277 0.828
37 Cl 0.063 0.122 0.569
38 Cl 0.063 0.378 0.069
39 Cl 0.075 0.116 0.956
40 Cl 0.075 0.384 0.456
41 Cl 0.083 0.137 0.193
42 Cl 0.083 0.363 0.693
43 Cl 0.311 0.195 0.501
44 Cl 0.311 0.305 0.001
45 Cl 0.344 0.052 0.136
46 Cl 0.344 0.448 0.636
47 Cl 0.354 0.193 0.738
48 Cl 0.354 0.307 0.238
49 Cl 0.646 0.693 0.762
50 Cl 0.646 0.807 0.262
51 Cl 0.656 0.552 0.364
52 Cl 0.656 0.948 0.864
53 Cl 0.689 0.695 0.999
54 Cl 0.689 0.805 0.499
55 Cl 0.917 0.637 0.307
56 Cl 0.917 0.863 0.807
57 Cl 0.925 0.616 0.544
58 Cl 0.925 0.884 0.044
59 Cl 0.937 0.622 0.931
60 Cl 0.937 0.878 0.431

Peak list (10 most intense, 2θ from 10° to 90°, sorted by position)
| d_spacing | 2theta | intensity |
| --- | --- | --- |
| 6.088 | 14.5 | 88.7 |
| 5.387 | 16.5 | 100.0 |
| 4.777 | 18.6 | 72.4 |
| 4.560 | 19.5 | 49.8 |
| 3.901 | 22.8 | 53.2 |
| 3.818 | 23.3 | 52.4 |
| 3.587 | 24.8 | 56.1 |
| 3.073 | 29.1 | 73.9 |
| 2.928 | 30.5 | 47.8 |
| 2.643 | 33.9 | 46.2 |

3.
Starting from a crystal structure in OQMD, relaxed with PBE, the X-ray diffraction stick pattern of HfTe6Cl6 was calculated for Cu Kα.
Neutral-atom scattering factors, no anomalous dispersion.

Atomic structure:
Cell lengths 11.230, 11.136, 13.148 Å; angles 90.00, 90.00, 90.00 degrees
Atoms (fractional coordinates):
1 Hf 0.237 0.206 0.250
2 Hf 0.237 0.294 0.750
3 Hf 0.763 0.706 0.250
4 Hf 0.763 0.794 0.750
5 Te 0.113 0.632 0.531
6 Te 0.113 0.632 0.969
7 Te 0.113 0.868 0.031
8 Te 0.113 0.868 0.469
9 Te 0.226 0.740 0.750
10 Te 0.226 0.760 0.250
11 Te 0.315 0.597 0.098
12 Te 0.315 0.597 0.402
13 Te 0.315 0.903 0.598
14 Te 0.315 0.903 0.902
15 Te 0.477 0.750 0.000
16 Te 0.477 0.750 0.500
17 Te 0.523 0.250 0.000
18 Te 0.523 0.250 0.500
19 Te 0.685 0.097 0.098
20 Te 0.685 0.097 0.402
21 Te 0.685 0.403 0.598
22 Te 0.685 0.403 0.902
23 Te 0.774 0.240 0.750
24 Te 0.774 0.260 0.250
25 Te 0.887 0.132 0.531
26 Te 0.887 0.132 0.969
27 Te 0.887 0.368 0.031
28 Te 0.887 0.368 0.469
29 Cl 0.078 0.058 0.250
30 Cl 0.078 0.442 0.750
31 Cl 0.138 0.171 0.619
32 Cl 0.138 0.171 0.881
33 Cl 0.138 0.329 0.119
34 Cl 0.138 0.329 0.381
35 Cl 0.342 0.087 0.117
36 Cl 0.342 0.087 0.383
37 Cl 0.342 0.413 0.617
38 Cl 0.342 0.413 0.883
39 Cl 0.403 0.155 0.750
40 Cl 0.403 0.345 0.250
41 Cl 0.597 0.655 0.750
42 Cl 0.597 0.845 0.250
43 Cl 0.658 0.587 0.117
44 Cl 0.658 0.587 0.383
45 Cl 0.658 0.913 0.617
46 Cl 0.658 0.913 0.883
47 Cl 0.862 0.671 0.619
48 Cl 0.862 0.671 0.881
49 Cl 0.862 0.829 0.119
50 Cl 0.862 0.829 0.381
51 Cl 0.922 0.558 0.250
52 Cl 0.922 0.942 0.750

Peak list (10 most intense, 2θ from 10° to 90°, sorted by position)
| d_spacing | 2theta | intensity |
| --- | --- | --- |
| 5.615 | 15.8 | 47.4 |
| 5.568 | 15.9 | 50.1 |
| 5.055 | 17.5 | 84.0 |
| 4.270 | 20.8 | 61.3 |
| 3.388 | 26.3 | 100.0 |
| 3.293 | 27.1 | 56.2 |
| 3.106 | 28.7 | 42.4 |
| 2.831 | 31.6 | 38.0 |
| 2.747 | 32.6 | 35.8 |
| 2.533 | 35.4 | 52.5 |

4.
Starting from a crystal structure in OQMD, relaxed with PBE, the X-ray diffraction stick pattern of HgCl2 was calculated for Cu Kα.
Neutral-atom scattering factors, no anomalous dispersion.

Atomic structure:
Cell lengths 6.270, 6.095, 9.863 Å; angles 90.00, 90.00, 90.00 degrees
Atoms (fractional coordinates):
1 Hg 0.058 0.250 0.124
2 Hg 0.442 0.750 0.624
3 Hg 0.558 0.250 0.376
4 Hg 0.942 0.750 0.876
5 Cl 0.048 0.250 0.363
6 Cl 0.049 0.250 0.886
7 Cl 0.451 0.750 0.386
8 Cl 0.452 0.750 0.863
9 Cl 0.548 0.250 0.137
10 Cl 0.549 0.250 0.614
11 Cl 0.951 0.750 0.114
12 Cl 0.952 0.750 0.637

Peak list (10 most intense, 2θ from 10° to 90°, sorted by position)
| d_spacing | 2theta | intensity |
| --- | --- | --- |
| 5.292 | 16.8 | 92.9 |
| 5.185 | 17.1 | 100.0 |
| 3.271 | 27.3 | 43.4 |
| 3.135 | 28.5 | 32.1 |
| 3.048 | 29.3 | 50.4 |
| 2.788 | 32.1 | 32.3 |
| 2.641 | 33.9 | 34.2 |
| 2.466 | 36.4 | 27.4 |
| 1.938 | 46.9 | 28.0 |
| 1.917 | 47.4 | 25.5 |

5.
Starting from a crystal structure in OQMD, relaxed with PBE, the X-ray diffraction stick pattern of HgCl2 was calculated for Cu Kα.
Neutral-atom scattering factors, no anomalous dispersion.

Atomic structure:
Cell lengths 6.178, 6.178, 9.725 Å; angles 90.00, 90.00, 90.00 degrees
Atoms (fractional coordinates):
1 Hg 0.204 0.204 0.000
2 Hg 0.296 0.704 0.250
3 Hg 0.704 0.296 0.750
4 Hg 0.796 0.796 0.500
5 Cl 0.217 0.222 0.758
6 Cl 0.222 0.217 0.242
7 Cl 0.278 0.717 0.008
8 Cl 0.283 0.722 0.492
9 Cl 0.717 0.278 0.992
10 Cl 0.722 0.283 0.508
11 Cl 0.778 0.783 0.742
12 Cl 0.783 0.778 0.258

Peak list (10 most intense, 2θ from 10° to 90°, sorted by position)
| d_spacing | 2theta | intensity |
| --- | --- | --- |
| 5.214 | 17.0 | 100.0 |
| 3.250 | 27.4 | 21.5 |
| 3.089 | 28.9 | 42.1 |
| 2.870 | 31.2 | 20.5 |
| 2.763 | 32.4 | 19.1 |
| 2.658 | 33.7 | 28.1 |
| 2.431 | 37.0 | 14.3 |
| 2.184 | 41.3 | 11.7 |
| 2.103 | 43.0 | 12.6 |
| 1.910 | 47.6 | 20.4 |

6.
Starting from a crystal structure in OQMD, relaxed with PBE, the X-ray diffraction stick pattern of HgCl2 was calculated for Cu Kα.
Neutral-atom scattering factors, no anomalous dispersion.

Atomic structure:
Cell lengths 6.220, 6.220, 8.265 Å; angles 90.00, 90.00, 120.00 degrees
Atoms (fractional coordinates):
1 Hg 0.000 0.385 0.333
2 Hg 0.385 0.000 0.667
3 Hg 0.615 0.615 0.000
4 Cl 0.037 0.375 0.053
5 Cl 0.338 0.963 0.387
6 Cl 0.375 0.037 0.947
7 Cl 0.625 0.662 0.720
8 Cl 0.662 0.625 0.280
9 Cl 0.963 0.338 0.613

Peak list (10 most intense, 2θ from 10° to 90°, sorted by position)
| d_spacing | 2theta | intensity |
| --- | --- | --- |
| 4.513 | 19.7 | 100.0 |
| 3.279 | 27.2 | 23.1 |
| 3.110 | 28.7 | 73.9 |
| 2.755 | 32.5 | 16.5 |
| 2.561 | 35.0 | 22.2 |
| 2.062 | 43.9 | 35.0 |
| 1.977 | 45.9 | 22.9 |
| 1.928 | 47.1 | 24.1 |
| 1.639 | 56.1 | 15.5 |
| 1.450 | 64.2 | 13.1 |